# Na12AlIn7
Computed PXRD pattern, Cu Kα X-rays. Input: a cell relaxed with PBE.
Peak positions follow from Bragg's law for the DFT cell and can differ from measured ones.

Peak list (12 most intense, 2θ = 10–90°, low angle first)
2θ 11.04, I 50; 2θ 17.38, I 100; 2θ 17.61, I 39; 2θ 22.00, I 23; 2θ 26.95, I 37; 2θ 32.25, I 56; 2θ 32.38, I 39; 2θ 32.90, I 35; 2θ 33.55, I 83; 2θ 35.05, I 49; 2θ 37.79, I 66; 2θ 55.81, I 22

Structural model:
Lattice parameters (Å, degrees): 8.506 8.506 8.506 102.15 102.15 102.15
Element x y z (fractional)
Na1 0.003 0.262 0.739
Na2 0.165 0.416 0.176
Na3 0.176 0.165 0.416
Na4 0.261 0.997 0.738
Na5 0.262 0.739 0.003
Na6 0.416 0.176 0.165
Na7 0.584 0.824 0.835
Na8 0.738 0.261 0.997
Na9 0.739 0.003 0.262
Na10 0.824 0.835 0.584
Na11 0.835 0.584 0.824
Na12 0.997 0.738 0.261
Al1 0.500 0.500 0.500
In1 0.000 0.000 0.000
In2 0.189 0.586 0.591
In3 0.409 0.811 0.414
In4 0.414 0.409 0.811
In5 0.586 0.591 0.189
In6 0.591 0.189 0.586
In7 0.811 0.414 0.409

***

# DyGe3Ir3
Computed PXRD pattern, Cu Kα X-rays. Input: a cell relaxed with PBE.
Peak positions follow from Bragg's law for the DFT cell and can differ from measured ones.

Peak list (12 most intense, 2θ = 10–90°, low angle first)
2θ 12.90, I 40; 2θ 15.48, I 88; 2θ 25.94, I 26; 2θ 29.03, I 100; 2θ 37.00, I 68; 2θ 39.38, I 58; 2θ 41.02, I 85; 2θ 43.87, I 69; 2θ 45.92, I 53; 2θ 51.07, I 35; 2θ 64.75, I 26; 2θ 85.95, I 25

Structural model:
Lattice parameters (Å, degrees): 7.931 7.931 7.931 51.43 51.43 51.43
Element x y z (fractional)
Dy1 0.172 0.172 0.172
Dy2 0.828 0.828 0.828
Ge1 0.093 0.456 0.640
Ge2 0.360 0.907 0.544
Ge3 0.456 0.640 0.093
Ge4 0.544 0.360 0.907
Ge5 0.640 0.093 0.456
Ge6 0.907 0.544 0.360
Ir1 0.044 0.818 0.308
Ir2 0.182 0.692 0.956
Ir3 0.308 0.044 0.818
Ir4 0.692 0.956 0.182
Ir5 0.818 0.308 0.044
Ir6 0.956 0.182 0.692